(1)
Starting from the PBE geometry in the Materials Project, the X-ray powder pattern of Sn3Bi was simulated for a wavelength of 1.5418 Å.
Neutral-atom scattering factors, no anomalous dispersion.

Principal peaks in the range 5 to 70 degrees two-theta, in order of rising 2θ:
2theta  I/Imax  (hkl)
16.8  2  0 0 2
20.7  6  1 0 1
26.8  2  1 1 0
31.8  100  1 1 2
33.9  21  0 0 4
38.3  30  2 0 0
43.9  2  2 1 1
52.1  25  2 0 4
55.3  11  2 2 0
59.4  17  1 1 6
65.2  27  3 1 2
66.4  12  2 2 4

Structural model:
```
data_Sn3Bi
_chemical_formula_sum 'Sn6 Bi2'
_cell_length_a 4.703
_cell_length_b 4.703
_cell_length_c 10.566
_cell_angle_alpha 90.00
_cell_angle_beta 90.00
_cell_angle_gamma 90.00
_symmetry_space_group_name_H-M 'I 4/m m m'
_symmetry_Int_Tables_number 139
_symmetry_space_group_name_Hall '-I 4 2'
loop_
_atom_site_label
_atom_site_type_symbol
_atom_site_fract_x
_atom_site_fract_y
_atom_site_fract_z
Sn1 Sn 0.000 0.000 0.000
Sn2 Sn 0.000 0.500 0.250
Bi1 Bi 0.000 0.000 0.500
```

=====

(2)
Starting from the PBE geometry in the Materials Project, the X-ray powder pattern of SnBi4Te7 was simulated for a wavelength of 1.5418 Å.
Neutral-atom scattering factors, no anomalous dispersion.

Principal peaks in the range 5 to 70 degrees two-theta, in order of rising 2θ:
2theta  I/Imax  (hkl)
10.8  5  0 0 3
18.1  5  0 0 5
23.3  4  1 0 1
27.3  100  0 1 4
37.4  39  1 0 8
40.4  41  1 1 0
44.2  6  0 0 12
49.5  20  2 0 4
56.3  12  0 2 8
61.5  13  1 1 12
65.4  4  0 1 16
65.7  17  1 2 4

Structural model:
```
data_SnBi4Te7
_chemical_formula_sum 'Sn1 Bi4 Te7'
_cell_length_a 4.4605
_cell_length_b 4.4605
_cell_length_c 24.5721
_cell_angle_alpha 90.00
_cell_angle_beta 90.00
_cell_angle_gamma 120.00
_symmetry_space_group_name_H-M 'P -3 m 1'
_symmetry_Int_Tables_number 164
_symmetry_space_group_name_Hall '-P 3 2"'
loop_
_atom_site_label
_atom_site_type_symbol
_atom_site_fract_x
_atom_site_fract_y
_atom_site_fract_z
Sn1 Sn 0.0000 0.0000 0.0000
Bi1 Bi 0.3333 0.6667 0.5820
Bi2 Bi 0.3333 0.6667 0.8385
Te1 Te 0.0000 0.0000 0.2312
Te2 Te 0.0000 0.0000 0.5000
Te3 Te 0.3333 0.6667 0.0767
Te4 Te 0.3333 0.6667 0.3481
```

=====

(3)
Starting from the PBE geometry in the Materials Project, the X-ray powder pattern of SnBi3Te4 was simulated for a wavelength of 1.5418 Å.
Neutral-atom scattering factors, no anomalous dispersion.

Principal peaks in the range 5 to 70 degrees two-theta, in order of rising 2θ:
2theta  I/Imax  (hkl)
18.0  10  10 0 0
27.4  100  9 1 -1
27.4  50  6 0 2
37.3  40  15 1 1
37.6  19  18 0 -2
40.6  18  0 2 0
40.9  36  3 1 -3
44.0  10  24 0 0
49.7  20  6 2 2
56.5  12  18 2 -2
61.5  16  21 1 3
66.5  17  3 1 5

Structural model:
```
data_SnBi3Te4
_chemical_formula_sum 'Sn6 Bi18 Te24'
_cell_length_a 49.931
_cell_length_b 4.442
_cell_length_c 7.625
_cell_angle_alpha 90.00
_cell_angle_beta 98.47
_cell_angle_gamma 90.00
_symmetry_space_group_name_H-M 'C 1 m 1'
_symmetry_Int_Tables_number 8
loop_
_symmetry_equiv_pos_as_xyz
'x,y,z'
'x,-y,z'
'x+1/2,y+1/2,z'
'x+1/2,-y+1/2,z'
loop_
_atom_site_label
_atom_site_type_symbol
_atom_site_fract_x
_atom_site_fract_y
_atom_site_fract_z
Sn1 Sn 0.000 0.000 0.000
Sn2 Sn 0.000 0.500 0.500
Sn3 Sn 0.377 0.500 0.878
Bi1 Bi 0.083 0.000 0.751
Bi2 Bi 0.083 0.500 0.249
Bi3 Bi 0.171 0.000 0.504
Bi4 Bi 0.171 0.500 0.005
Bi5 Bi 0.206 0.000 0.875
Bi6 Bi 0.206 0.500 0.375
Bi7 Bi 0.293 0.000 0.628
Bi8 Bi 0.295 0.500 0.131
Bi9 Bi 0.377 0.000 0.380
Te1 Te 0.044 0.000 0.380
Te2 Te 0.044 0.500 0.880
Te3 Te 0.120 0.000 0.123
Te4 Te 0.120 0.500 0.623
Te5 Te 0.257 0.000 0.258
Te6 Te 0.257 0.500 0.756
Te7 Te 0.334 0.000 0.000
Te8 Te 0.334 0.500 0.501
Te9 Te 0.411 0.000 0.748
Te10 Te 0.411 0.500 0.244
Te11 Te 0.467 0.500 0.634
Te12 Te 0.468 0.000 0.136
```